Structure and calculated powder X-ray diffraction pattern of CrBO3 (a PBE+U-relaxed structure; CuKα).

Largest 6 diffraction maxima, by angle, 15° ≤ 2θ ≤ 90°:
2θ 25.3, 3.523 Å, rel. 62, (0 1 2); 2θ 33.2, 2.702 Å, rel. 100, (1 0 4); 2θ 38.8, 2.324 Å, rel. 20, (1 1 0); 2θ 43.2, 2.096 Å, rel. 30, (1 1 3); 2θ 46.8, 1.940 Å, rel. 23, (2 0 2); 2θ 54.7, 1.679 Å, rel. 40, (1 1 6)

Crystal structure
a = 4.6471 Å, b = 4.6471 Å, c = 14.5809 Å
α = 90.00°, β = 90.00°, γ = 120.00°
Space group R-3c (No. 167, hexagonal axes)
One atom of each set of equivalent atoms:
Cr: 0.0000 0.0000 0.0000 [6 per cell]
B: 0.0000 0.0000 0.2500 [6 per cell]
O: 0.0000 0.2980 0.2500 [18 per cell]